No. 1
Starting from a cell relaxed with PBE, the powder diffractogram of Ba3NaSr2 was computed for Cu Kα, 1.54184 Å.

abc: 10.9033 10.9033 9.5985
angles: 90.00 90.00 37.05
Sites, in units of the cell vectors:
Ba 0.0000 0.0000 0.0000
Ba 0.0000 0.0000 0.5000
Ba 0.3435 0.3435 0.0000
Ba 0.3435 0.3435 0.5000
Ba 0.6565 0.6565 0.0000
Ba 0.6565 0.6565 0.5000
Na 0.4992 0.5008 0.7500
Na 0.5008 0.4992 0.2500
Sr 0.1753 0.1754 0.2500
Sr 0.1754 0.1753 0.7500
Sr 0.8246 0.8247 0.2500
Sr 0.8247 0.8246 0.7500

Principal peaks in the range 2θ = 10–80°, most intense first:
- 2θ 26.0, rel. 1000
- 2θ 25.7, rel. 264
- 2θ 45.5, rel. 236
- 2θ 25.9, rel. 236
- 2θ 46.0, rel. 204
- 2θ 36.8, rel. 186
- 2θ 45.7, rel. 175
- 2θ 53.5, rel. 124

---

No. 2
Starting from a cell relaxed with PBE, the powder diffractogram of BaNa3Sr4 was computed for Cu Kα, 1.54184 Å.

abc: 4.5782 6.5936 13.1659
angles: 90.00 90.00 90.00
Sites, in units of the cell vectors:
Ba 0.0000 0.0000 0.0000
Na 0.0000 0.0000 0.5000
Na 0.0000 0.5000 0.2440
Na 0.0000 0.5000 0.7560
Sr 0.5000 0.0000 0.2663
Sr 0.5000 0.0000 0.7337
Sr 0.5000 0.5000 0.0000
Sr 0.5000 0.5000 0.5000

Principal peaks in the range 2θ = 10–80°, most intense first:
- 2θ 27.3, rel. 1000
- 2θ 27.1, rel. 505
- 2θ 48.0, rel. 394
- 2θ 48.4, rel. 207
- 2θ 38.7, rel. 188
- 2θ 56.4, rel. 122
- 2θ 13.4, rel. 100
- 2θ 39.4, rel. 97

---

No. 3
Starting from a cell relaxed with PBE, the powder diffractogram of Ba3Na2Sr5 was computed for Cu Kα, 1.54184 Å.

abc: 11.9330 11.9330 12.2989
angles: 121.02 121.02 55.80
Sites, in units of the cell vectors:
Ba 0.0010 0.9990 0.7500
Ba 0.1716 0.5706 0.8713
Ba 0.4294 0.8284 0.6287
Ba 0.5706 0.1716 0.3713
Ba 0.8284 0.4294 0.1287
Ba 0.9990 0.0010 0.2500
Na 0.1240 0.1576 0.6408
Na 0.1576 0.1240 0.1408
Na 0.8424 0.8760 0.8592
Na 0.8760 0.8424 0.3592
Sr 0.1980 0.5499 0.3739
Sr 0.2507 0.2515 0.5012
Sr 0.2515 0.2507 0.0012
Sr 0.4501 0.8020 0.1261
Sr 0.5004 0.4996 0.2500
Sr 0.4996 0.5004 0.7500
Sr 0.5499 0.1980 0.8739
Sr 0.7485 0.7493 0.9988
Sr 0.7493 0.7485 0.4988
Sr 0.8020 0.4501 0.6261

Principal peaks in the range 2θ = 10–80°, most intense first:
- 2θ 25.3, rel. 1000
- 2θ 21.5, rel. 836
- 2θ 26.2, rel. 518
- 2θ 29.0, rel. 351
- 2θ 39.5, rel. 346
- 2θ 47.8, rel. 203
- 2θ 41.3, rel. 202
- 2θ 32.2, rel. 193

---

No. 4
Starting from a cell relaxed with PBE, the powder diffractogram of Ba5Na2Sr12 was computed for Cu Kα, 1.54184 Å.

abc: 13.7236 13.7236 10.6125
angles: 108.40 108.40 34.69
Sites, in units of the cell vectors:
Ba 0.0000 0.0000 0.0000
Ba 0.2375 0.2375 0.5455
Ba 0.3383 0.3383 0.3025
Ba 0.6617 0.6617 0.6975
Ba 0.7625 0.7625 0.4545
Na 0.3006 0.6994 0.5000
Na 0.6994 0.3006 0.5000
Sr 0.0557 0.5615 0.9130
Sr 0.1042 0.1042 0.7258
Sr 0.1564 0.6471 0.6775
Sr 0.3529 0.8436 0.3225
Sr 0.4385 0.9443 0.0870
Sr 0.4505 0.4505 0.1083
Sr 0.5495 0.5495 0.8917
Sr 0.5615 0.0557 0.9130
Sr 0.6471 0.1564 0.6775
Sr 0.8436 0.3529 0.3225
Sr 0.8958 0.8958 0.2742
Sr 0.9443 0.4385 0.0870

Principal peaks in the range 2θ = 10–80°, most intense first:
- 2θ 25.4, rel. 1000
- 2θ 26.3, rel. 421
- 2θ 23.4, rel. 323
- 2θ 26.2, rel. 273
- 2θ 27.5, rel. 243
- 2θ 31.8, rel. 208
- 2θ 25.8, rel. 196
- 2θ 46.0, rel. 153

---

No. 5
Starting from a cell relaxed with PBE, the powder diffractogram of Ba3Na3Sr2 was computed for Cu Kα, 1.54184 Å.

abc: 14.1797 14.1797 14.1797
angles: 161.30 152.40 33.55
Sites, in units of the cell vectors:
Ba 0.0000 0.0000 0.0000
Ba 0.3762 0.8762 0.5000
Ba 0.6238 0.1238 0.5000
Na 0.1225 0.6225 0.5000
Na 0.5000 0.5000 0.0000
Na 0.8775 0.3775 0.5000
Sr 0.2370 0.2370 0.0000
Sr 0.7630 0.7630 0.0000

Principal peaks in the range 2θ = 10–80°, most intense first:
- 2θ 26.8, rel. 1000
- 2θ 26.3, rel. 512
- 2θ 21.0, rel. 248
- 2θ 46.8, rel. 215
- 2θ 19.5, rel. 198
- 2θ 47.7, rel. 197
- 2θ 37.5, rel. 186
- 2θ 16.4, rel. 179

---

No. 6
Starting from a cell relaxed with PBE, the powder diffractogram of BaNa2UTe4 was computed for Cu Kα, 1.54184 Å.

abc: 8.4067 8.4067 8.4067
angles: 134.72 134.64 66.02
Sites, in units of the cell vectors:
Ba 0.0000 0.0000 0.0000
Na 0.2498 0.7498 0.5000
Na 0.4998 0.4998 0.0000
U 0.7498 0.2498 0.5000
Te 0.2515 0.2515 0.0000
Te 0.5375 0.0375 0.5000
Te 0.7480 0.7480 0.0000
Te 0.9618 0.4618 0.5000

Principal peaks in the range 2θ = 10–80°, most intense first:
- 2θ 27.5, rel. 1000
- 2θ 15.1, rel. 778
- 2θ 37.7, rel. 679
- 2θ 25.3, rel. 486
- 2θ 39.3, rel. 386
- 2θ 47.3, rel. 365
- 2θ 31.5, rel. 271
- 2θ 34.7, rel. 262

---

No. 7
Starting from a cell relaxed with PBE, the powder diffractogram of Ba6Na23Tl was computed for Cu Kα, 1.54184 Å.

abc: 12.1731 12.1731 12.1731
angles: 60.00 60.00 60.00
Sites, in units of the cell vectors:
Ba 0.2022 0.2022 0.7978
Ba 0.2022 0.7978 0.2022
Ba 0.2022 0.7978 0.7978
Ba 0.7978 0.2022 0.2022
Ba 0.7978 0.2022 0.7978
Ba 0.7978 0.7978 0.2022
Na 0.0000 0.0000 0.5000
Na 0.0000 0.5000 0.0000
Na 0.0000 0.5000 0.5000
Na 0.1435 0.6188 0.6188
Na 0.1720 0.1720 0.1720
Na 0.1720 0.1720 0.4841
Na 0.1720 0.4841 0.1720
Na 0.3812 0.3812 0.3812
Na 0.3812 0.3812 0.8565
Na 0.3812 0.8565 0.3812
Na 0.4841 0.1720 0.1720
Na 0.5000 0.0000 0.0000
Na 0.5000 0.0000 0.5000
Na 0.5000 0.5000 0.0000
Na 0.5000 0.5000 0.5000
Na 0.5159 0.8280 0.8280
Na 0.6188 0.1435 0.6188
Na 0.6188 0.6188 0.1435
Na 0.6188 0.6188 0.6188
Na 0.8280 0.5159 0.8280
Na 0.8280 0.8280 0.5159
Na 0.8280 0.8280 0.8280
Na 0.8565 0.3812 0.3812
Tl 0.0000 0.0000 0.0000

Principal peaks in the range 2θ = 10–80°, most intense first:
- 2θ 26.9, rel. 1000
- 2θ 29.3, rel. 710
- 2θ 10.3, rel. 533
- 2θ 20.6, rel. 400
- 2θ 37.3, rel. 350
- 2θ 23.1, rel. 273
- 2θ 45.6, rel. 262
- 2θ 31.2, rel. 251

---

No. 8
Starting from a cell relaxed with PBE, the powder diffractogram of BaNa3Tl was computed for Cu Kα, 1.54184 Å.

abc: 16.7716 16.7716 4.3827
angles: 90.00 90.00 161.08
Sites, in units of the cell vectors:
Ba 0.1549 0.8451 0.0000
Ba 0.8451 0.1549 0.0000
Na 0.0550 0.9450 0.5000
Na 0.2791 0.7209 0.5000
Na 0.4489 0.5511 0.0000
Na 0.5511 0.4489 0.0000
Na 0.7209 0.2791 0.5000
Na 0.9450 0.0550 0.5000
Tl 0.3775 0.6225 0.5000
Tl 0.6225 0.3775 0.5000

Principal peaks in the range 2θ = 10–80°, most intense first:
- 2θ 10.7, rel. 1000
- 2θ 27.2, rel. 627
- 2θ 32.2, rel. 274
- 2θ 29.2, rel. 239
- 2θ 26.1, rel. 231
- 2θ 32.5, rel. 206
- 2θ 51.3, rel. 200
- 2θ 21.0, rel. 148

---

No. 9
Starting from a cell relaxed with PBE, the powder diffractogram of Ba3Na2Tl8 was computed for Cu Kα, 1.54184 Å.

abc: 8.7442 8.7442 8.6827
angles: 90.15 90.15 43.84
Sites, in units of the cell vectors:
Ba 0.0000 0.0000 0.0000
Ba 0.2235 0.2235 0.3217
Ba 0.7765 0.7765 0.6783
Na 0.4109 0.4109 0.7070
Na 0.5891 0.5891 0.2930
Tl 0.1570 0.6839 0.3887
Tl 0.2170 0.2170 0.8811
Tl 0.3161 0.8430 0.6113
Tl 0.4021 0.4021 0.0662
Tl 0.5979 0.5979 0.9338
Tl 0.6839 0.1570 0.3887
Tl 0.7830 0.7830 0.1189
Tl 0.8430 0.3161 0.6113

Principal peaks in the range 2θ = 10–80°, most intense first:
- 2θ 14.9, rel. 1000
- 2θ 36.2, rel. 905
- 2θ 29.7, rel. 877
- 2θ 29.2, rel. 863
- 2θ 32.9, rel. 555
- 2θ 30.8, rel. 535
- 2θ 30.2, rel. 455
- 2θ 32.5, rel. 394

---

No. 10
Starting from a cell relaxed with PBE, the powder diffractogram of BaNa2Tl was computed for Cu Kα, 1.54184 Å.

abc: 11.1760 11.1760 12.3591
angles: 90.00 90.00 155.80
Sites, in units of the cell vectors:
Ba 0.0000 0.0000 0.0000
Ba 0.0000 0.0000 0.5000
Ba 0.1756 0.8244 0.7500
Ba 0.8244 0.1756 0.2500
Na 0.2082 0.7918 0.0780
Na 0.2082 0.7918 0.4220
Na 0.3809 0.6191 0.7500
Na 0.4649 0.5351 0.2500
Na 0.5351 0.4649 0.7500
Na 0.6191 0.3809 0.2500
Na 0.7918 0.2082 0.5780
Na 0.7918 0.2082 0.9220
Tl 0.3720 0.6280 0.0339
Tl 0.3720 0.6280 0.4661
Tl 0.6280 0.3720 0.5339
Tl 0.6280 0.3720 0.9661

Principal peaks in the range 2θ = 10–80°, most intense first:
- 2θ 26.8, rel. 1000
- 2θ 27.9, rel. 491
- 2θ 14.3, rel. 461
- 2θ 10.8, rel. 400
- 2θ 29.2, rel. 367
- 2θ 35.9, rel. 281
- 2θ 28.9, rel. 256
- 2θ 32.8, rel. 252

---

No. 11
Starting from a cell relaxed with PBE, the powder diffractogram of BaNa5Tl6 was computed for Cu Kα, 1.54184 Å.

abc: 5.4070 8.3239 8.5056
angles: 90.00 108.19 90.00
Sites, in units of the cell vectors:
Ba 0.0000 0.0000 0.0000
Na 0.0000 0.5000 0.0000
Na 0.3265 0.5000 0.6695
Na 0.3273 0.0000 0.6612
Na 0.6727 0.0000 0.3388
Na 0.6735 0.5000 0.3305
Tl 0.1834 0.2603 0.3517
Tl 0.1834 0.7397 0.3517
Tl 0.5000 0.2793 0.0000
Tl 0.5000 0.7207 0.0000
Tl 0.8166 0.2603 0.6483
Tl 0.8166 0.7397 0.6483

Principal peaks in the range 2θ = 10–80°, most intense first:
- 2θ 31.9, rel. 1000
- 2θ 31.8, rel. 990
- 2θ 21.3, rel. 550
- 2θ 33.1, rel. 475
- 2θ 23.4, rel. 471
- 2θ 23.2, rel. 464
- 2θ 33.3, rel. 442
- 2θ 55.8, rel. 348

---

No. 12
Starting from a cell relaxed with PBE, the powder diffractogram of Ba7Na2Tl2 was computed for Cu Kα, 1.54184 Å.

abc: 8.6104 8.6104 8.7025
angles: 90.00 90.00 102.48
Sites, in units of the cell vectors:
Ba 0.0000 0.0000 0.0000
Ba 0.0000 0.5000 0.2450
Ba 0.0000 0.5000 0.7550
Ba 0.5000 0.0000 0.2450
Ba 0.5000 0.0000 0.7550
Ba 0.5000 0.5000 0.2343
Ba 0.5000 0.5000 0.7657
Na 0.1620 0.1620 0.5000
Na 0.8380 0.8380 0.5000
Tl 0.2826 0.7174 0.0000
Tl 0.7174 0.2826 0.0000

Principal peaks in the range 2θ = 10–80°, most intense first:
- 2θ 29.5, rel. 1000
- 2θ 10.2, rel. 721
- 2θ 26.6, rel. 470
- 2θ 19.4, rel. 406
- 2θ 29.8, rel. 377
- 2θ 26.3, rel. 372
- 2θ 21.1, rel. 308
- 2θ 13.2, rel. 302

---

- Which formula does entry 6 have?
  BaNa2UTe4

---

Repeat the eleventh record exactly.
Starting from a cell relaxed with PBE, the powder diffractogram of BaNa5Tl6 was computed for Cu Kα, 1.54184 Å.

abc: 5.4070 8.3239 8.5056
angles: 90.00 108.19 90.00
Sites, in units of the cell vectors:
Ba 0.0000 0.0000 0.0000
Na 0.0000 0.5000 0.0000
Na 0.3265 0.5000 0.6695
Na 0.3273 0.0000 0.6612
Na 0.6727 0.0000 0.3388
Na 0.6735 0.5000 0.3305
Tl 0.1834 0.2603 0.3517
Tl 0.1834 0.7397 0.3517
Tl 0.5000 0.2793 0.0000
Tl 0.5000 0.7207 0.0000
Tl 0.8166 0.2603 0.6483
Tl 0.8166 0.7397 0.6483

Principal peaks in the range 2θ = 10–80°, most intense first:
- 2θ 31.9, rel. 1000
- 2θ 31.8, rel. 990
- 2θ 21.3, rel. 550
- 2θ 33.1, rel. 475
- 2θ 23.4, rel. 471
- 2θ 23.2, rel. 464
- 2θ 33.3, rel. 442
- 2θ 55.8, rel. 348